Diffraction record for SrAg2GeSeS3. The X-ray powder pattern is calculated, not measured: it uses a GGA-PBE-relaxed structure and a wavelength of 1.5418 Å.
Intensities are scaled so that the largest is 100.

Crystal structure
```
8
Lattice="6.278 0.000 0.000 -1.438 6.131 0.000 -2.495 -2.944 4.977" Properties=species:S:1:pos:R:3 pbc="T T T"
Sr 0.000 0.000 0.000
Ag -0.963 2.743 2.503
Ag 3.289 0.420 2.491
Ge 2.449 3.122 0.065
Se -0.847 -0.922 3.077
S 1.797 5.271 0.001
S 1.593 2.121 1.884
S 4.688 2.979 0.066
```

Principal peaks in the range 10° ≤ 2θ ≤ 90°, in order of rising 2θ:
2θ = 16.95°, intensity 15; 2θ = 25.09°, intensity 25; 2θ = 25.79°, intensity 23; 2θ = 28.92°, intensity 32; 2θ = 29.19°, intensity 100; 2θ = 30.57°, intensity 15; 2θ = 36.09°, intensity 32; 2θ = 36.48°, intensity 35; 2θ = 47.04°, intensity 13; 2θ = 47.66°, intensity 17



Diffraction record for DySn2. The X-ray powder pattern is calculated, not measured: it uses a GGA-PBE-relaxed structure and a wavelength of 1.5418 Å.
Intensities are scaled so that the largest is 100.

Crystal structure
```
6
Lattice="2.216 -8.163 0.000 2.216 8.163 0.000 0.000 0.000 4.347" Properties=species:S:1:pos:R:3 pbc="T T T"
Dy 2.216 6.556 3.260
Dy 2.216 -6.556 1.087
Sn 2.216 4.059 1.087
Sn 2.216 1.040 3.260
Sn 2.216 -1.040 1.087
Sn 2.216 -4.059 3.260
```

Principal peaks in the range 10° ≤ 2θ ≤ 90°, in order of rising 2θ:
2θ = 32.92°, intensity 20; 2θ = 33.24°, intensity 100; 2θ = 40.73°, intensity 16; 2θ = 41.55°, intensity 15; 2θ = 53.32°, intensity 11; 2θ = 54.00°, intensity 10; 2θ = 58.98°, intensity 10; 2θ = 59.59°, intensity 10; 2θ = 69.38°, intensity 12; 2θ = 70.54°, intensity 12



Diffraction record for DyHoGa2Pd4. The X-ray powder pattern is calculated, not measured: it uses a GGA-PBE-relaxed structure and a wavelength of 1.5418 Å.
Intensities are scaled so that the largest is 100.

Crystal structure
```
8
Lattice="4.404 0.000 0.000 -2.202 3.814 0.000 0.000 0.000 9.014" Properties=species:S:1:pos:R:3 pbc="T T T"
Dy 0.000 0.000 0.000
Ho 0.000 2.543 4.507
Ga 2.202 1.271 2.254
Ga 2.202 1.271 6.760
Pd 0.000 0.000 2.990
Pd 0.000 0.000 6.024
Pd 0.000 2.543 1.521
Pd 0.000 2.543 7.493
```

Principal peaks in the range 10° ≤ 2θ ≤ 90°, in order of rising 2θ:
2θ = 23.32°, intensity 23; 2θ = 30.71°, intensity 16; 2θ = 38.13°, intensity 100; 2θ = 40.99°, intensity 78; 2θ = 57.21°, intensity 30; 2θ = 66.94°, intensity 12; 2θ = 72.76°, intensity 29; 2θ = 74.66°, intensity 13; 2θ = 76.81°, intensity 11; 2θ = 88.89°, intensity 8



Diffraction record for PrErBC2. The X-ray powder pattern is calculated, not measured: it uses a GGA-PBE-relaxed structure and a wavelength of 1.5418 Å.
Intensities are scaled so that the largest is 100.

Crystal structure
```
5
Lattice="2.639 -2.639 0.000 2.639 2.639 0.000 -2.544 0.000 5.506" Properties=species:S:1:pos:R:3 pbc="T T T"
Pr 0.000 0.000 0.000
Er 0.092 0.000 3.236
B 2.676 0.000 1.530
C 2.645 0.000 0.047
C 2.723 0.000 3.022
```

Principal peaks in the range 10° ≤ 2θ ≤ 90°, in order of rising 2θ:
2θ = 16.10°, intensity 10; 2θ = 25.10°, intensity 28; 2θ = 25.29°, intensity 31; 2θ = 32.52°, intensity 22; 2θ = 34.00°, intensity 100; 2θ = 34.48°, intensity 38; 2θ = 47.74°, intensity 15; 2θ = 48.81°, intensity 21; 2θ = 60.57°, intensity 8; 2θ = 81.57°, intensity 9



Diffraction record for Zn3SiNi2. The X-ray powder pattern is calculated, not measured: it uses a GGA-PBE-relaxed structure and a wavelength of 1.5418 Å.
Intensities are scaled so that the largest is 100.

Crystal structure
```
24
Lattice="0.000 5.351 5.351 5.351 0.000 5.351 5.351 5.351 0.000" Properties=species:S:1:pos:R:3 pbc="T T T"
Zn 4.013 4.013 0.654
Zn 4.013 0.654 4.013
Zn 7.372 4.013 4.013
Zn 6.689 6.689 3.330
Zn 6.689 3.330 6.689
Zn 10.048 6.689 6.689
Zn 0.654 4.013 4.013
Zn 4.013 7.372 4.013
Zn 4.013 4.013 7.372
Zn 3.330 6.689 6.689
Zn 6.689 10.048 6.689
Zn 6.689 6.689 10.048
Si 5.351 2.675 2.675
Si 2.675 5.351 2.675
Si 2.675 2.675 5.351
Si 5.351 5.351 5.351
Ni 3.091 3.091 3.091
Ni 4.936 4.936 3.091
Ni 4.936 3.091 4.936
Ni 7.611 5.766 5.766
Ni 3.091 4.936 4.936
Ni 5.766 7.611 5.766
Ni 5.766 5.766 7.611
Ni 7.611 7.611 7.611
```

Principal peaks in the range 10° ≤ 2θ ≤ 90°, in order of rising 2θ:
2θ = 28.90°, intensity 9; 2θ = 36.60°, intensity 7; 2θ = 41.33°, intensity 37; 2θ = 43.96°, intensity 100; 2θ = 48.10°, intensity 15; 2θ = 51.22°, intensity 8; 2θ = 61.92°, intensity 6; 2θ = 67.19°, intensity 6; 2θ = 75.36°, intensity 32; 2θ = 77.19°, intensity 7



Diffraction record for Gd2DyIn3CuNi2. The X-ray powder pattern is calculated, not measured: it uses a GGA-PBE-relaxed structure and a wavelength of 1.5418 Å.
Intensities are scaled so that the largest is 100.

Crystal structure
```
9
Lattice="3.842 0.000 0.000 0.000 6.471 3.735 0.000 -6.471 3.735" Properties=species:S:1:pos:R:3 pbc="T T T"
Gd 0.000 -3.801 3.735
Gd 0.000 3.801 3.735
Dy 0.000 0.000 2.847
In 1.921 0.000 0.388
In 1.921 -1.669 4.964
In 1.921 1.669 4.964
Cu 0.000 0.000 5.928
Ni 1.921 -2.156 2.194
Ni 1.921 2.156 2.194
```

Principal peaks in the range 10° ≤ 2θ ≤ 90°, in order of rising 2θ:
2θ = 33.46°, intensity 100; 2θ = 36.30°, intensity 76; 2θ = 36.75°, intensity 52; 2θ = 41.89°, intensity 24; 2θ = 47.32°, intensity 20; 2θ = 50.88°, intensity 15; 2θ = 56.61°, intensity 23; 2θ = 61.37°, intensity 23; 2θ = 65.02°, intensity 12; 2θ = 67.67°, intensity 25



Diffraction record for Re5Si3. The X-ray powder pattern is calculated, not measured: it uses a GGA-PBE-relaxed structure and a wavelength of 1.5418 Å.
Intensities are scaled so that the largest is 100.

Crystal structure
```
16
Lattice="-4.730 4.730 2.463 4.730 -4.730 2.463 4.730 4.730 -2.463" Properties=species:S:1:pos:R:3 pbc="T T T"
Re 7.344 0.691 0.000
Re 0.691 2.115 0.000
Re 4.730 0.000 1.231
Re 5.421 2.614 0.000
Re 2.614 4.039 0.000
Re 2.115 0.691 2.463
Re -0.691 2.115 2.463
Re 0.000 4.730 1.231
Re 4.039 2.614 2.463
Re -2.614 4.039 2.463
Si 3.108 1.621 0.000
Si 0.000 0.000 1.231
Si 3.108 -1.621 2.463
Si 1.621 6.351 0.000
Si 0.000 0.000 3.694
Si 1.621 3.108 2.463
```

Principal peaks in the range 10° ≤ 2θ ≤ 90°, in order of rising 2θ:
2θ = 27.80°, intensity 49; 2θ = 29.87°, intensity 42; 2θ = 36.48°, intensity 28; 2θ = 38.91°, intensity 94; 2θ = 41.33°, intensity 32; 2θ = 42.75°, intensity 52; 2θ = 43.52°, intensity 100; 2θ = 45.75°, intensity 67; 2θ = 69.34°, intensity 32; 2θ = 70.53°, intensity 24



Diffraction record for TlOs3N5. The X-ray powder pattern is calculated, not measured: it uses a GGA-PBE-relaxed structure and a wavelength of 1.5418 Å.
Intensities are scaled so that the largest is 100.

Crystal structure
```
9
Lattice="5.327 0.000 0.000 -2.663 4.613 0.000 0.000 0.000 5.482" Properties=species:S:1:pos:R:3 pbc="T T T"
Tl 0.000 0.000 0.000
Os -1.332 2.307 2.741
Os 2.663 0.000 2.741
Os 1.332 2.307 2.741
N 0.000 0.000 2.741
N 0.000 3.075 1.448
N 0.000 3.075 4.034
N 2.663 1.538 1.448
N 2.663 1.538 4.034
```

Principal peaks in the range 10° ≤ 2θ ≤ 90°, in order of rising 2θ:
2θ = 16.17°, intensity 50; 2θ = 25.23°, intensity 100; 2θ = 32.67°, intensity 32; 2θ = 37.54°, intensity 35; 2θ = 39.05°, intensity 64; 2θ = 42.52°, intensity 25; 2θ = 51.80°, intensity 65; 2θ = 55.29°, intensity 24; 2θ = 80.12°, intensity 16; 2θ = 81.73°, intensity 16



Diffraction record for Y2HgAs. The X-ray powder pattern is calculated, not measured: it uses a GGA-PBE-relaxed structure and a wavelength of 1.5418 Å.
Intensities are scaled so that the largest is 100.

Crystal structure
```
4
Lattice="0.000 3.687 3.687 3.687 0.000 3.687 3.687 3.687 0.000" Properties=species:S:1:pos:R:3 pbc="T T T"
Y 0.000 0.000 0.000
Y 1.843 1.843 1.843
Hg 5.530 5.530 5.530
As 3.687 3.687 3.687
```

Principal peaks in the range 10° ≤ 2θ ≤ 90°, in order of rising 2θ:
2θ = 20.87°, intensity 12; 2θ = 24.14°, intensity 8; 2θ = 34.40°, intensity 100; 2θ = 40.58°, intensity 8; 2θ = 49.45°, intensity 18; 2θ = 54.23°, intensity 3; 2θ = 55.76°, intensity 4; 2θ = 61.63°, intensity 37; 2θ = 72.52°, intensity 11; 2θ = 82.80°, intensity 16



Diffraction record for SmYAlIr2. The X-ray powder pattern is calculated, not measured: it uses a GGA-PBE-relaxed structure and a wavelength of 1.5418 Å.
Intensities are scaled so that the largest is 100.

Crystal structure
```
5
Lattice="-2.062 2.930 4.325 2.062 -2.930 4.325 2.062 2.930 -4.325" Properties=species:S:1:pos:R:3 pbc="T T T"
Sm 0.000 0.000 0.000
Y 0.000 0.000 3.430
Al 0.000 2.930 1.715
Ir 2.062 1.416 1.714
Ir 0.000 1.515 6.039
```

Principal peaks in the range 10° ≤ 2θ ≤ 90°, in order of rising 2θ:
2θ = 20.53°, intensity 25; 2θ = 23.90°, intensity 59; 2θ = 26.43°, intensity 23; 2θ = 33.70°, intensity 37; 2θ = 37.06°, intensity 73; 2θ = 38.08°, intensity 70; 2θ = 39.12°, intensity 100; 2θ = 43.90°, intensity 32; 2θ = 58.77°, intensity 39; 2θ = 66.76°, intensity 37



Diffraction record for SiPd4Pb3. The X-ray powder pattern is calculated, not measured: it uses a GGA-PBE-relaxed structure and a wavelength of 1.5418 Å.
Intensities are scaled so that the largest is 100.

Crystal structure
```
8
Lattice="6.434 0.000 0.000 0.000 3.846 0.000 -0.035 0.000 6.511" Properties=species:S:1:pos:R:3 pbc="T T T"
Si 0.000 0.000 0.000
Pd 1.044 0.000 2.427
Pd 1.031 1.923 5.256
Pd 4.586 0.000 1.554
Pd 4.770 1.923 5.950
Pb 2.543 1.923 1.126
Pb 3.063 0.000 4.477
Pb 5.604 1.923 3.234
```

Principal peaks in the range 10° ≤ 2θ ≤ 90°, in order of rising 2θ:
2θ = 30.35°, intensity 100; 2θ = 30.87°, intensity 50; 2θ = 36.41°, intensity 20; 2θ = 38.80°, intensity 22; 2θ = 38.95°, intensity 46; 2θ = 39.09°, intensity 49; 2θ = 39.26°, intensity 19; 2θ = 47.27°, intensity 29; 2θ = 48.14°, intensity 30; 2θ = 57.50°, intensity 20



Repeat the sixth record exactly.
Diffraction record for Gd2DyIn3CuNi2. The X-ray powder pattern is calculated, not measured: it uses a GGA-PBE-relaxed structure and a wavelength of 1.5418 Å.
Intensities are scaled so that the largest is 100.

Crystal structure
```
9
Lattice="3.842 0.000 0.000 0.000 6.471 3.735 0.000 -6.471 3.735" Properties=species:S:1:pos:R:3 pbc="T T T"
Gd 0.000 -3.801 3.735
Gd 0.000 3.801 3.735
Dy 0.000 0.000 2.847
In 1.921 0.000 0.388
In 1.921 -1.669 4.964
In 1.921 1.669 4.964
Cu 0.000 0.000 5.928
Ni 1.921 -2.156 2.194
Ni 1.921 2.156 2.194
```

Principal peaks in the range 10° ≤ 2θ ≤ 90°, in order of rising 2θ:
2θ = 33.46°, intensity 100; 2θ = 36.30°, intensity 76; 2θ = 36.75°, intensity 52; 2θ = 41.89°, intensity 24; 2θ = 47.32°, intensity 20; 2θ = 50.88°, intensity 15; 2θ = 56.61°, intensity 23; 2θ = 61.37°, intensity 23; 2θ = 65.02°, intensity 12; 2θ = 67.67°, intensity 25



What did the first record say?
Diffraction record for SrAg2GeSeS3. The X-ray powder pattern is calculated, not measured: it uses a GGA-PBE-relaxed structure and a wavelength of 1.5418 Å.
Intensities are scaled so that the largest is 100.

Crystal structure
```
8
Lattice="6.278 0.000 0.000 -1.438 6.131 0.000 -2.495 -2.944 4.977" Properties=species:S:1:pos:R:3 pbc="T T T"
Sr 0.000 0.000 0.000
Ag -0.963 2.743 2.503
Ag 3.289 0.420 2.491
Ge 2.449 3.122 0.065
Se -0.847 -0.922 3.077
S 1.797 5.271 0.001
S 1.593 2.121 1.884
S 4.688 2.979 0.066
```

Principal peaks in the range 10° ≤ 2θ ≤ 90°, in order of rising 2θ:
2θ = 16.95°, intensity 15; 2θ = 25.09°, intensity 25; 2θ = 25.79°, intensity 23; 2θ = 28.92°, intensity 32; 2θ = 29.19°, intensity 100; 2θ = 30.57°, intensity 15; 2θ = 36.09°, intensity 32; 2θ = 36.48°, intensity 35; 2θ = 47.04°, intensity 13; 2θ = 47.66°, intensity 17